(1)
This entry pairs a crystal structure of LuH3O3 with its simulated X-ray powder pattern. Radiation: CuKα. Structure: DFT lattice parameters and positions (GGA-PBE).
Neutral-atom scattering factors, no anomalous dispersion.

The 10 most intense peaks (15 to 90 degrees two-theta), in order of rising 2θ:
2θ 16.84, d = 5.264 Å, I = 100.0, (0 0 2); 2θ 17.05, d = 5.202 Å, I = 17.2, (2 0 -2); 2θ 23.60, d = 3.770 Å, I = 13.9, (1 1 1); 2θ 24.26, d = 3.669 Å, I = 12.2, (1 1 -3); 2θ 29.67, d = 3.011 Å, I = 21.7, (3 1 -3); 2θ 33.58, d = 2.669 Å, I = 19.5, (3 1 -1); 2θ 34.06, d = 2.633 Å, I = 23.6, (0 2 2); 2θ 34.99, d = 2.564 Å, I = 21.1, (3 1 -5); 2θ 44.61, d = 2.031 Å, I = 12.0, (3 1 1); 2θ 45.58, d = 1.990 Å, I = 12.0, (0 2 4)

Crystal structure
Cell: 10.419 6.073 14.433 Å, 90.00 133.05 90.00°
Space group P2_1/c (No. 14)
Asymmetric unit:
Lu  0.164  0.025  0.498 [4 per cell]
Lu  0.330  0.534  0.498 [4 per cell]
H  0.005  0.225  0.208 [4 per cell]
H  0.199  0.072  0.106 [4 per cell]
H  0.202  0.630  0.201 [4 per cell]
H  0.270  0.149  0.369 [4 per cell]
H  0.421  0.707  0.887 [4 per cell]
H  0.487  0.154  0.300 [4 per cell]
O  0.095  0.731  0.384 [4 per cell]
O  0.109  0.615  0.109 [4 per cell]
O  0.205  0.221  0.386 [4 per cell]
O  0.277  0.151  0.103 [4 per cell]
O  0.410  0.637  0.393 [4 per cell]
O  0.419  0.655  0.107 [4 per cell]


(2)
This entry pairs a crystal structure of LuH3O3 with its simulated X-ray powder pattern. Radiation: CuKα. Structure: DFT lattice parameters and positions (GGA-PBE).
Neutral-atom scattering factors, no anomalous dispersion.

The 10 most intense peaks (15 to 90 degrees two-theta), in order of rising 2θ:
2θ 21.16, d = 4.199 Å, I = 100.0, (1 1 -1); 2θ 21.47, d = 4.140 Å, I = 88.5, (-1 1 1); 2θ 22.35, d = 3.978 Å, I = 84.1, (1 -1 1); 2θ 30.24, d = 2.956 Å, I = 33.5, (0 2 0); 2θ 30.40, d = 2.940 Å, I = 30.5, (2 0 -2); 2θ 30.97, d = 2.888 Å, I = 60.7, (2 0 0); 2θ 31.04, d = 2.881 Å, I = 31.5, (0 0 2); 2θ 31.32, d = 2.856 Å, I = 32.5, (2 -2 0); 2θ 38.03, d = 2.366 Å, I = 35.7, (1 -3 1); 2θ 54.23, d = 1.692 Å, I = 30.6, (0 4 -2)

Crystal structure
Cell: 7.086 7.100 7.113 Å, 108.74 111.84 107.41°
Space group P1 (No. 1)
Asymmetric unit:
Lu  0.000  0.000  0.000 [1 per cell]
Lu  0.004  0.481  0.444 [1 per cell]
Lu  0.487  0.986  0.454 [1 per cell]
Lu  0.522  0.517  0.980 [1 per cell]
H  0.036  0.155  0.666 [1 per cell]
H  0.053  0.824  0.349 [1 per cell]
H  0.177  0.667  0.957 [1 per cell]
H  0.182  0.022  0.681 [1 per cell]
H  0.205  0.528  0.120 [1 per cell]
H  0.327  0.344  0.498 [1 per cell]
H  0.537  0.700  0.641 [1 per cell]
H  0.670  0.612  0.422 [1 per cell]
H  0.696  0.399  0.755 [1 per cell]
H  0.820  0.033  0.331 [1 per cell]
H  0.845  0.303  0.988 [1 per cell]
H  0.889  0.593  0.756 [1 per cell]
O  0.047  0.688  0.802 [1 per cell]
O  0.162  0.143  0.785 [1 per cell]
O  0.175  0.818  0.473 [1 per cell]
O  0.308  0.126  0.299 [1 per cell]
O  0.309  0.647  0.105 [1 per cell]
O  0.332  0.475  0.622 [1 per cell]
O  0.632  0.289  0.798 [1 per cell]
O  0.656  0.819  0.640 [1 per cell]
O  0.689  0.510  0.304 [1 per cell]
O  0.805  0.811  0.099 [1 per cell]
O  0.824  0.156  0.456 [1 per cell]
O  0.985  0.319  0.117 [1 per cell]


(3)
This entry pairs a crystal structure of LuH3O3 with its simulated X-ray powder pattern. Radiation: CuKα. Structure: DFT lattice parameters and positions (GGA-PBE).
Neutral-atom scattering factors, no anomalous dispersion.

The 10 most intense peaks (15 to 90 degrees two-theta), in order of rising 2θ:
2θ 21.66, d = 4.103 Å, I = 100.0, (0 2 1); 2θ 30.82, d = 2.901 Å, I = 69.7, (2 2 0); 2θ 37.95, d = 2.371 Å, I = 20.2, (4 0 1); 2θ 44.15, d = 2.051 Å, I = 16.8, (0 4 2); 2θ 49.63, d = 1.837 Å, I = 25.1, (2 4 1); 2θ 49.76, d = 1.833 Å, I = 25.0, (4 -2 3); 2θ 54.76, d = 1.676 Å, I = 27.9, (4 2 2); 2θ 54.96, d = 1.671 Å, I = 9.2, (0 2 4); 2θ 68.52, d = 1.369 Å, I = 8.0, (8 -2 1); 2θ 89.20, d = 1.098 Å, I = 8.3, (10 -4 2)

Crystal structure
Cell: 11.6219 11.6219 7.0846 Å, 90.00 90.00 120.00°
Space group R-3 (No. 148, hexagonal axes)
Asymmetric unit:
Lu  0.0000  0.0000  0.0000 [3 per cell]
Lu  0.0000  0.5000  0.0000 [9 per cell]
H  0.0176  0.4251  0.6497 [18 per cell]
H  0.0757  0.1961  0.7413 [18 per cell]
O  0.0053  0.8427  0.1764 [18 per cell]
O  0.0526  0.7818  0.6022 [18 per cell]


(4)
This entry pairs a crystal structure of LuH3O3 with its simulated X-ray powder pattern. Radiation: CuKα. Structure: DFT lattice parameters and positions (GGA-PBE).
Neutral-atom scattering factors, no anomalous dispersion.

The 10 most intense peaks (15 to 90 degrees two-theta), in order of rising 2θ:
2θ 21.62, d = 4.110 Å, I = 100.0, (0 2 1); 2θ 30.76, d = 2.906 Å, I = 69.2, (2 0 2); 2θ 37.92, d = 2.373 Å, I = 26.5, (4 0 1); 2θ 44.07, d = 2.055 Å, I = 16.8, (0 4 2); 2θ 49.60, d = 1.838 Å, I = 49.9, (2 4 1); 2θ 54.69, d = 1.678 Å, I = 27.6, (6 -2 2); 2θ 68.45, d = 1.371 Å, I = 10.6, (6 0 3); 2θ 72.76, d = 1.300 Å, I = 14.0, (6 -4 4); 2θ 76.92, d = 1.239 Å, I = 10.2, (4 4 3); 2θ 89.19, d = 1.098 Å, I = 12.2, (6 2 4)

Crystal structure
Cell: 11.6169 11.6169 7.1289 Å, 90.00 90.00 120.00°
Space group R-3 (No. 148, hexagonal axes)
Asymmetric unit:
Lu  0.0000  0.0000  0.0000 [3 per cell]
Lu  0.0000  0.5000  0.0000 [9 per cell]
H  0.0339  0.2379  0.9085 [18 per cell]
H  0.0904  0.8615  0.6808 [18 per cell]
O  0.0059  0.8427  0.1729 [18 per cell]
O  0.0496  0.7800  0.6008 [18 per cell]


(5)
This entry pairs a crystal structure of LuHSe with its simulated X-ray powder pattern. Radiation: CuKα. Structure: DFT lattice parameters and positions (GGA-PBE).
Neutral-atom scattering factors, no anomalous dispersion.

The 10 most intense peaks (15 to 90 degrees two-theta), in order of rising 2θ:
2θ 23.16, d = 3.841 Å, I = 9.2, (0 0 1); 2θ 27.41, d = 3.254 Å, I = 45.6, (1 0 0); 2θ 36.18, d = 2.483 Å, I = 100.0, (1 0 1); 2θ 47.33, d = 1.921 Å, I = 10.1, (0 0 2); 2θ 48.46, d = 1.879 Å, I = 28.2, (1 1 0); 2θ 55.57, d = 1.654 Å, I = 13.2, (1 0 2); 2θ 61.94, d = 1.498 Å, I = 21.0, (2 0 1); 2θ 70.07, d = 1.343 Å, I = 18.7, (1 1 2); 2θ 80.64, d = 1.191 Å, I = 10.0, (1 0 3); 2θ 82.33, d = 1.171 Å, I = 19.1, (2 1 1)

Crystal structure
Cell: 3.7571 3.7571 3.8410 Å, 90.00 90.00 120.00°
Space group P-6m2 (No. 187)
Asymmetric unit:
Lu  0.0000  0.0000  0.0000 [1 per cell]
H  0.3333  0.6667  0.0000 [1 per cell]
Se  0.6667  0.3333  0.5000 [1 per cell]